Starting from the GGA-PBE geometry in the Materials Project, the X-ray diffraction stick pattern of Al2SiO5 was simulated for Cu Kα X-rays.

Structural model:
```
data_Al2SiO5
_chemical_formula_sum 'Al8 Si4 O20'
_cell_length_a 7.876
_cell_length_b 7.979
_cell_length_c 5.614
_cell_angle_alpha 90.00
_cell_angle_beta 90.00
_cell_angle_gamma 90.00
_symmetry_space_group_name_H-M 'P n n m'
_symmetry_Int_Tables_number 58
_symmetry_space_group_name_Hall '-P 2 2n'
loop_
_atom_site_label
_atom_site_fract_x
_atom_site_fract_y
_atom_site_fract_z
_atom_site_occupancy
Al1 0.000 0.000 0.242 1
Al2 0.129 0.361 0.000 1
Si1 0.246 0.748 0.000 1
O1 0.076 0.136 0.500 1
O2 0.076 0.137 0.000 1
O3 0.103 0.599 0.000 1
O4 0.231 0.866 0.240 1
```

Most intense lines, 2θ = 10–90°, low angle first:
2theta, I/Imax, h k l
15.8, 57, 1 1 0
19.4, 100, 1 0 1
22.4, 31, 1 1 1
25.0, 18, 1 2 0
31.9, 57, 2 2 0
35.8, 23, 1 1 2
39.2, 33, 0 2 2
39.5, 16, 3 1 1
40.9, 17, 1 2 2
41.1, 35, 3 2 0
61.7, 37, 2 4 2
66.6, 15, 0 0 4